1.
# Pr2YPaAs4
Simulated powder XRD pattern, a wavelength of 1.5418 Å. Input: a structure optimized by DFT (GGA-PBE).
Kinematic intensities with the Lorentz-polarization factor, no thermal factor.

Most intense lines, 10 to 90 degrees two-theta, sorted by position:
2θ (°)  I_rel
25.97  10
30.07  100
42.92  25
43.03  25
43.20  25
53.40  13
62.51  12
70.73  11
70.88  11
71.14  11

```
Pr2YPaAs4
1.0
7.245 0.000 0.000
0.000 4.204 0.000
-2.427 0.000 6.891
Pr Y Pa As
2 1 1 4
Direct
0.000 0.000 0.000 Pr
0.500 0.500 0.000 Pr
0.000 0.500 0.500 Y
0.500 0.000 0.500 Pa
0.250 0.000 0.735 As
0.258 0.500 0.266 As
0.742 0.500 0.734 As
0.750 0.000 0.265 As
```

2.
# SmPu2PaAs4
Simulated powder XRD pattern, a wavelength of 1.5418 Å. Input: a structure optimized by DFT (GGA-PBE).
Kinematic intensities with the Lorentz-polarization factor, no thermal factor.

Most intense lines, 10 to 90 degrees two-theta, sorted by position:
2θ (°)  I_rel
26.27  30
30.47  100
43.54  38
43.72  38
51.61  12
54.07  20
63.41  13
71.84  18
72.10  17
80.07  13

```
SmPu2PaAs4
1.0
7.162 0.000 0.000
0.000 4.159 0.000
-2.409 0.000 6.782
Sm Pu Pa As
1 2 1 4
Direct
0.000 0.000 0.000 Sm
0.500 0.000 0.500 Pu
0.500 0.500 0.000 Pu
0.000 0.500 0.500 Pa
0.247 0.000 0.744 As
0.252 0.500 0.257 As
0.748 0.500 0.743 As
0.753 0.000 0.256 As
```

3.
# PuU4Pa3As8
Simulated powder XRD pattern, a wavelength of 1.5418 Å. Input: a structure optimized by DFT (GGA-PBE).
Kinematic intensities with the Lorentz-polarization factor, no thermal factor.

Most intense lines, 10 to 90 degrees two-theta, sorted by position:
2θ (°)  I_rel
26.67  46
30.90  100
44.26  76
52.43  23
54.95  27
64.38  13
70.97  10
73.11  35
81.45  27
87.58  8

```
PuU4Pa3As8
1.0
4.093 2.363 6.684
-4.093 2.363 6.684
0.000 -4.727 6.684
Pu U Pa As
1 4 3 8
Direct
0.000 0.000 0.000 Pu
0.000 0.000 0.500 U
0.000 0.500 0.000 U
0.500 0.000 0.000 U
0.500 0.500 0.500 U
0.000 0.500 0.500 Pa
0.500 0.000 0.500 Pa
0.500 0.500 0.000 Pa
0.250 0.250 0.250 As
0.250 0.749 0.749 As
0.251 0.251 0.750 As
0.251 0.750 0.251 As
0.749 0.250 0.749 As
0.749 0.749 0.250 As
0.750 0.251 0.251 As
0.750 0.750 0.750 As
```

4.
# PaReAs
Simulated powder XRD pattern, a wavelength of 1.5418 Å. Input: a structure optimized by DFT (GGA-PBE).
Kinematic intensities with the Lorentz-polarization factor, no thermal factor.

Most intense lines, 10 to 90 degrees two-theta, sorted by position:
2θ (°)  I_rel
28.86  22
33.03  10
37.35  100
39.49  47
52.40  11
57.07  16
65.92  15
67.00  10
70.21  32
79.64  9

```
PaReAs
1.0
-1.614 1.614 5.423
1.614 -1.614 5.423
1.614 1.614 -5.423
Pa Re As
1 1 1
Direct
0.000 0.000 0.000 Pa
0.682 0.682 0.000 Re
0.300 0.300 0.000 As
```

5.
# Pa4AsRh12
Simulated powder XRD pattern, a wavelength of 1.5418 Å. Input: a structure optimized by DFT (GGA-PBE).
Kinematic intensities with the Lorentz-polarization factor, no thermal factor.

Most intense lines, 10 to 90 degrees two-theta, sorted by position:
2θ (°)  I_rel
21.36  10
30.39  21
37.45  100
43.52  56
48.97  7
54.01  7
63.24  35
75.87  34
79.90  11
87.83  6

```
Pa4AsRh12
1.0
-4.159 4.159 4.159
4.159 -4.159 4.159
4.159 4.159 -4.159
Pa As Rh
4 1 12
Direct
0.000 0.000 0.500 Pa
0.000 0.500 0.000 Pa
0.500 0.000 0.000 Pa
0.500 0.500 0.500 Pa
0.000 0.000 0.000 As
0.000 0.282 0.282 Rh
0.000 0.718 0.718 Rh
0.250 0.500 0.750 Rh
0.250 0.750 0.500 Rh
0.282 0.000 0.282 Rh
0.282 0.282 0.000 Rh
0.500 0.250 0.750 Rh
0.500 0.750 0.250 Rh
0.718 0.000 0.718 Rh
0.718 0.718 0.000 Rh
0.750 0.250 0.500 Rh
0.750 0.500 0.250 Rh
```

6.
# Pa3As4Rh3
Simulated powder XRD pattern, a wavelength of 1.5418 Å. Input: a structure optimized by DFT (GGA-PBE).
Kinematic intensities with the Lorentz-polarization factor, no thermal factor.

Most intense lines, 10 to 90 degrees two-theta, sorted by position:
2θ (°)  I_rel
23.54  39
27.25  18
30.54  33
36.31  100
43.73  63
45.99  16
48.16  14
54.28  19
61.78  21
75.47  17

```
Pa3As4Rh3
1.0
-4.628 4.628 4.628
4.628 -4.628 4.628
4.628 4.628 -4.628
Pa As Rh
6 8 6
Direct
0.125 0.875 0.250 Pa
0.250 0.125 0.875 Pa
0.375 0.625 0.750 Pa
0.625 0.750 0.375 Pa
0.750 0.375 0.625 Pa
0.875 0.250 0.125 Pa
0.000 0.173 0.500 As
0.000 0.673 0.500 As
0.173 0.500 0.000 As
0.327 0.327 0.327 As
0.500 0.000 0.173 As
0.500 0.000 0.673 As
0.673 0.500 0.000 As
0.827 0.827 0.827 As
0.125 0.750 0.875 Rh
0.250 0.625 0.375 Rh
0.375 0.250 0.625 Rh
0.625 0.375 0.250 Rh
0.750 0.875 0.125 Rh
0.875 0.125 0.750 Rh
```

7.
# PaAs2Rh5
Simulated powder XRD pattern, a wavelength of 1.5418 Å. Input: a structure optimized by DFT (GGA-PBE).
Kinematic intensities with the Lorentz-polarization factor, no thermal factor.

Most intense lines, 10 to 90 degrees two-theta, sorted by position:
2θ (°)  I_rel
15.29  15
27.98  13
30.08  21
38.74  100
39.02  87
43.95  62
47.61  28
66.79  35
77.12  23
77.66  17

```
PaAs2Rh5
1.0
0.000 3.820 5.795
2.930 0.000 5.795
2.930 3.820 0.000
Pa As Rh
1 2 5
Direct
0.000 0.000 0.000 Pa
0.282 0.282 0.718 As
0.718 0.718 0.282 As
0.130 0.130 0.370 Rh
0.370 0.370 0.130 Rh
0.500 0.500 0.500 Rh
0.630 0.630 0.870 Rh
0.870 0.870 0.630 Rh
```

8.
# Pa2As7Ru12
Simulated powder XRD pattern, a wavelength of 1.5418 Å. Input: a structure optimized by DFT (GGA-PBE).
Kinematic intensities with the Lorentz-polarization factor, no thermal factor.

Most intense lines, 10 to 90 degrees two-theta, sorted by position:
2θ (°)  I_rel
35.98  100
36.38  9
42.26  8
44.62  10
46.23  24
48.79  22
52.10  10
62.09  8
69.46  15
78.86  10

```
Pa2As7Ru12
1.0
9.877 0.000 0.000
-4.939 8.554 0.000
0.000 0.000 3.929
Pa As Ru
2 7 12
Direct
0.000 0.000 0.000 Pa
0.333 0.667 0.500 Pa
0.070 0.445 0.000 As
0.264 0.222 0.500 As
0.375 0.930 0.000 As
0.555 0.625 0.000 As
0.667 0.333 0.000 As
0.778 0.042 0.500 As
0.958 0.736 0.500 As
0.047 0.268 0.500 Ru
0.112 0.708 0.000 Ru
0.221 0.953 0.500 Ru
0.292 0.405 0.000 Ru
0.393 0.184 0.000 Ru
0.537 0.443 0.500 Ru
0.557 0.094 0.500 Ru
0.595 0.888 0.000 Ru
0.732 0.779 0.500 Ru
0.791 0.607 0.000 Ru
0.816 0.209 0.000 Ru
0.906 0.463 0.500 Ru
```

9.
# PaAs12Ru4
Simulated powder XRD pattern, a wavelength of 1.5418 Å. Input: a structure optimized by DFT (GGA-PBE).
Kinematic intensities with the Lorentz-polarization factor, no thermal factor.

Most intense lines, 10 to 90 degrees two-theta, sorted by position:
2θ (°)  I_rel
14.60  15
29.44  38
33.01  100
39.28  60
47.37  19
52.22  49
54.52  40
69.24  15
75.07  15
76.98  10

```
PaAs12Ru4
1.0
-4.291 4.291 4.291
4.291 -4.291 4.291
4.291 4.291 -4.291
Pa As Ru
1 12 4
Direct
0.000 0.000 0.000 Pa
0.149 0.345 0.494 As
0.149 0.655 0.804 As
0.196 0.851 0.345 As
0.345 0.196 0.851 As
0.345 0.494 0.149 As
0.494 0.149 0.345 As
0.506 0.851 0.655 As
0.655 0.506 0.851 As
0.655 0.804 0.149 As
0.804 0.149 0.655 As
0.851 0.345 0.196 As
0.851 0.655 0.506 As
0.000 0.000 0.500 Ru
0.000 0.500 0.000 Ru
0.500 0.000 0.000 Ru
0.500 0.500 0.500 Ru
```

10.
# U2PaAs2Ru2
Simulated powder XRD pattern, a wavelength of 1.5418 Å. Input: a structure optimized by DFT (GGA-PBE).
Kinematic intensities with the Lorentz-polarization factor, no thermal factor.

Most intense lines, 10 to 90 degrees two-theta, sorted by position:
2θ (°)  I_rel
10.81  22
23.85  23
34.91  100
37.77  11
41.43  69
55.26  27
57.96  18
71.35  26
75.55  12
88.28  12

```
U2PaAs2Ru2
1.0
2.180 1.258 8.187
-2.180 1.258 8.187
0.000 -2.517 8.187
U Pa As Ru
2 1 2 2
Direct
0.145 0.145 0.145 U
0.855 0.855 0.855 U
0.000 0.000 0.000 Pa
0.268 0.268 0.268 As
0.732 0.732 0.732 As
0.435 0.435 0.435 Ru
0.565 0.565 0.565 Ru
```

11.
# Pa3As2S2
Simulated powder XRD pattern, a wavelength of 1.5418 Å. Input: a structure optimized by DFT (GGA-PBE).
Kinematic intensities with the Lorentz-polarization factor, no thermal factor.

Most intense lines, 10 to 90 degrees two-theta, sorted by position:
2θ (°)  I_rel
13.20  39
14.67  34
25.20  100
26.04  53
28.69  36
29.45  40
36.70  72
37.07  36
37.18  74
45.42  53

```
Pa3As2S2
1.0
7.460 -2.064 0.000
7.460 2.064 0.000
-2.992 0.000 6.158
Pa As S
3 2 2
Direct
0.000 0.000 0.000 Pa
0.265 0.265 0.255 Pa
0.735 0.735 0.745 Pa
0.370 0.370 0.726 As
0.630 0.630 0.274 As
0.130 0.130 0.812 S
0.870 0.870 0.188 S
```

12.
# UPaAsS
Simulated powder XRD pattern, a wavelength of 1.5418 Å. Input: a structure optimized by DFT (GGA-PBE).
Kinematic intensities with the Lorentz-polarization factor, no thermal factor.

Most intense lines, 10 to 90 degrees two-theta, sorted by position:
2θ (°)  I_rel
27.30  70
31.62  100
45.33  75
53.73  35
56.32  26
66.01  8
72.86  15
75.04  23
75.14  12
83.74  27

```
UPaAsS
1.0
4.003 0.000 0.000
0.000 4.003 0.000
0.000 0.000 5.653
U Pa As S
1 1 1 1
Direct
0.000 0.000 0.000 U
0.500 0.500 0.500 Pa
0.000 0.000 0.500 As
0.500 0.500 0.000 S
```

13.
# Pa4Sb3As
Simulated powder XRD pattern, a wavelength of 1.5418 Å. Input: a structure optimized by DFT (GGA-PBE).
Kinematic intensities with the Lorentz-polarization factor, no thermal factor.

Most intense lines, 10 to 90 degrees two-theta, sorted by position:
2θ (°)  I_rel
25.36  16
29.40  100
41.98  37
42.16  38
52.13  13
61.01  12
68.99  11
69.14  11
69.33  11
76.89  8

```
Pa4Sb3As
1.0
7.465 0.000 0.000
0.000 8.599 0.000
-2.472 0.000 6.987
Pa Sb As
8 6 2
Direct
0.231 0.116 0.001 Pa
0.231 0.884 0.501 Pa
0.240 0.363 0.489 Pa
0.240 0.637 0.989 Pa
0.760 0.363 0.011 Pa
0.760 0.637 0.511 Pa
0.769 0.116 0.499 Pa
0.769 0.884 0.999 Pa
0.000 0.376 0.750 Sb
0.000 0.624 0.250 Sb
0.500 0.124 0.750 Sb
0.500 0.377 0.250 Sb
0.500 0.623 0.750 Sb
0.500 0.876 0.250 Sb
0.000 0.123 0.250 As
0.000 0.877 0.750 As
```